NbCr3Ag2S8: simulated XRD peak list (copper Kα), based on a cell relaxed with GGA-PBE.

Largest 12 diffraction maxima, in order of rising 2θ, 2θ from 10° to 90°:
| 2θ/deg | I_rel | hkl |
| --- | --- | --- |
| 14.76 | 48 | 1 0 0 |
| 19.90 | 49 | 1 0 -1 |
| 20.32 | 44 | 1 0 1 |
| 29.05 | 39 | 0 2 1 |
| 29.63 | 64 | 1 2 0 |
| 29.77 | 29 | 2 0 0 |
| 32.59 | 29 | 1 2 -1 |
| 40.44 | 54 | 2 0 -2 |
| 40.56 | 51 | 1 2 -2 |
| 41.00 | 100 | 1 2 2 |
| 52.49 | 30 | 0 4 0 |
| 52.75 | 51 | 3 2 0 |

Atomic structure:
```
NbCr3Ag2S8
1.0
6.0038 0.0000 0.0000
0.0000 6.9733 0.0000
-0.1353 0.0000 6.5146
Nb Cr Ag S
1 3 2 8
Direct
0.0000 0.0000 0.0000
0.0000 0.5000 0.0000
0.5000 0.2501 0.0000
0.5000 0.7499 0.0000
0.5000 0.2526 0.5000
0.5000 0.7474 0.5000
0.1728 0.2560 0.2139
0.1728 0.7440 0.2139
0.3288 0.5000 0.7969
0.3353 0.0000 0.7837
0.6647 0.0000 0.2163
0.6712 0.5000 0.2031
0.8272 0.2560 0.7861
0.8272 0.7440 0.7861
```